Starting from a PBE+U-relaxed structure, the X-ray diffraction stick pattern of Fe4As5O13 was calculated for Cu Ka.

Main lines, in order of rising 2θ (5° ≤ 2θ ≤ 70°):
12.10 deg, d = 7.317 Å, I = 87.9, hkl 1 -1 0
21.13 deg, d = 4.204 Å, I = 52.3, hkl 2 0 -1
26.31 deg, d = 3.388 Å, I = 47.0, hkl 0 2 -2
28.12 deg, d = 3.174 Å, I = 68.4, hkl 1 -1 2
29.75 deg, d = 3.003 Å, I = 100.0, hkl -1 2 2
30.18 deg, d = 2.961 Å, I = 55.3, hkl 1 -3 1
30.34 deg, d = 2.946 Å, I = 86.3, hkl -3 1 2
31.16 deg, d = 2.871 Å, I = 65.8, hkl 2 1 0
32.29 deg, d = 2.772 Å, I = 50.5, hkl 0 1 -3
36.34 deg, d = 2.472 Å, I = 39.1, hkl -2 3 2

Structure:
Lattice parameters (Å, degrees): 9.0716 9.2273 9.2929 94.27 116.38 111.76
Space group P1 (No. 1)
One atom of each set of equivalent atoms:
Fe: 0.0000 0.0000 0.0000
Fe: 0.0027 0.0002 0.4995
Fe: 0.2598 0.1935 0.3808
Fe: 0.3522 0.3822 0.7989
Fe: 0.4713 0.2238 0.1075
Fe: 0.5335 0.7783 0.8932
Fe: 0.6537 0.6211 0.1962
Fe: 0.7423 0.8065 0.6174
As: 0.1027 0.7931 0.3034
As: 0.1646 0.8379 0.8344
As: 0.2134 0.4319 0.0952
As: 0.3045 0.5527 0.5390
As: 0.4753 0.0924 0.7425
As: 0.5282 0.9081 0.2597
As: 0.6992 0.4462 0.4551
As: 0.7928 0.5684 0.9045
As: 0.8455 0.1683 0.1657
As: 0.9038 0.2067 0.6951
O: 0.0111 0.1575 0.3553
O: 0.0212 0.3759 0.8875
O: 0.1006 0.2102 0.6886
O: 0.1354 0.2397 0.1442
O: 0.1429 0.9670 0.2211
O: 0.2308 0.0291 0.9785
O: 0.2764 0.0673 0.5530
O: 0.2878 0.5625 0.7279
O: 0.3682 0.9120 0.7990
O: 0.3781 0.4036 0.0409
O: 0.3848 0.3946 0.5829
O: 0.4801 0.2609 0.3438
O: 0.4828 0.2411 0.8900
O: 0.5183 0.7360 0.6359
O: 0.5215 0.7567 0.1213
O: 0.6239 0.6041 0.4147
O: 0.6275 0.0899 0.1915
O: 0.6276 0.5866 0.9603
O: 0.7131 0.4323 0.2637
O: 0.7310 0.9382 0.4485
O: 0.7835 0.9809 0.0284
O: 0.8636 0.0343 0.7787
O: 0.8691 0.7623 0.8571
O: 0.9064 0.7893 0.3114
O: 0.9874 0.6251 0.1120
O: 0.9950 0.8458 0.6468